Na2CaWF8: simulated powder XRD pattern (Cu Kα X-rays), based on a PBE+U-relaxed structure.
Lines closer than 0.1° are merged.

```
data_Na2CaWF8
_symmetry_space_group_name_H-M 'P m m m'
_symmetry_Int_Tables_number 47
_cell_length_a 3.696
_cell_length_b 5.561
_cell_length_c 7.725
_cell_angle_alpha 90.00
_cell_angle_beta 90.00
_cell_angle_gamma 90.00
loop_
_symmetry_equiv_pos_as_xyz
'x,y,z'
'-x,-y,-z'
'-x,-y,z'
'x,y,-z'
'x,-y,-z'
'-x,y,z'
'-x,y,-z'
'x,-y,z'
loop_
_atom_site_label
_atom_site_type_symbol
_atom_site_fract_x
_atom_site_fract_y
_atom_site_fract_z
_atom_site_occupancy
Na1 Na 0.000 0.000 0.234 1
Ca1 Ca 0.500 0.500 0.000 1
W1 W 0.500 0.500 0.500 1
F1 F 0.000 0.256 0.000 1
F2 F 0.000 0.290 0.500 1
F3 F 0.500 0.275 0.284 1
```

Peak list (10 most intense, 10° ≤ 2θ ≤ 90°, sorted by position)
11.5°, 7.725 Å, I = 100; 15.9°, 5.561 Å, I = 91; 19.7°, 4.513 Å, I = 65; 23.0°, 3.862 Å, I = 32; 24.1°, 3.696 Å, I = 26; 26.7°, 3.334 Å, I = 34; 28.1°, 3.172 Å, I = 87; 29.0°, 3.078 Å, I = 82; 31.3°, 2.859 Å, I = 29; 47.2°, 1.926 Å, I = 92